Li8MnO6: simulated XRD peak list (Cu Kα (λ = 1.5418 Å)), based on the GGA+U geometry in Alexandria.

Structural model:
```
data_Li8MnO6
_symmetry_space_group_name_H-M 'P 63 c m'
_symmetry_Int_Tables_number 185
_symmetry_space_group_name_Hall 'P 6c -2'
_cell_length_a 5.5477
_cell_length_b 5.5477
_cell_length_c 10.9992
_cell_angle_alpha 90.00
_cell_angle_beta 90.00
_cell_angle_gamma 120.00
loop_
_atom_site_label
_atom_site_fract_x
_atom_site_fract_y
_atom_site_fract_z
_atom_site_occupancy
Li1 0.0000 0.3077 0.0000 1
Li2 0.0000 0.3854 0.3646 1
Li3 0.3333 0.6667 0.1369 1
Mn1 0.0000 0.0000 0.2260 1
O1 0.0000 0.0000 0.4041 1
O2 0.0000 0.3080 0.1826 1
O3 0.3333 0.6667 0.4519 1
```

Most intense lines, 2θ = 10–90°, sorted by position:
| two_theta | I_rel |
| --- | --- |
| 16.1 | 21 |
| 18.5 | 75 |
| 24.6 | 100 |
| 32.3 | 37 |
| 32.6 | 32 |
| 33.3 | 31 |
| 37.7 | 18 |
| 41.0 | 21 |
| 53.1 | 28 |
| 57.6 | 31 |